Simulated PXRD pattern
Compound: In2Ag2Pd5
Radiation: Cu Kα X-rays
Structure: a GGA-PBE-relaxed structure
Lines closer than 0.1° are merged.

Structure:
Lattice parameters (Å, degrees): 9.255 9.255 5.330 105.30 105.30 46.10
Fractional coordinates of all 18 atoms:
In 0.144 0.856 0.500
In 0.519 0.951 0.136
In 0.856 0.144 0.000
In 0.951 0.519 0.636
Ag 0.084 0.269 0.052
Ag 0.269 0.084 0.552
Ag 0.671 0.962 0.716
Ag 0.962 0.671 0.216
Pd 0.090 0.715 0.827
Pd 0.279 0.858 0.064
Pd 0.318 0.334 0.449
Pd 0.334 0.318 0.949
Pd 0.456 0.502 0.273
Pd 0.502 0.456 0.773
Pd 0.561 0.698 0.691
Pd 0.698 0.561 0.191
Pd 0.715 0.090 0.327
Pd 0.858 0.279 0.564

Top 6 peaks for 15 to 90 degrees two-theta, in order of falling intensity:
d = 2.390 Å, rel. 100
d = 2.320 Å, rel. 100
d = 2.222 Å, rel. 83
d = 2.275 Å, rel. 82
d = 2.200 Å, rel. 70
d = 2.175 Å, rel. 68